# Ho6Th7Sc16
Calculated X-ray diffraction stick pattern, λ = 1.5418 Å (Cu Kα). Input: DFT lattice parameters and positions (GGA-PBE).
Intensities are scaled so that the largest is 100.

Crystal structure
```
Ho6Th7Sc16
1.0
0.0000 7.5950 7.5950
7.5950 0.0000 7.5950
7.5950 7.5950 0.0000
Ho Th Sc
6 7 16
direct
0.2381 0.2381 0.7619
0.2381 0.7619 0.2381
0.2381 0.7619 0.7619
0.7619 0.2381 0.2381
0.7619 0.2381 0.7619
0.7619 0.7619 0.2381
0.0000 0.0000 0.5000
0.0000 0.5000 0.0000
0.0000 0.5000 0.5000
0.5000 0.0000 0.0000
0.5000 0.0000 0.5000
0.5000 0.5000 0.0000
0.5000 0.5000 0.5000
0.1202 0.6266 0.6266
0.1669 0.1669 0.1669
0.1669 0.1669 0.4994
0.1669 0.4994 0.1669
0.3734 0.3734 0.3734
0.3734 0.3734 0.8798
0.3734 0.8798 0.3734
0.4994 0.1669 0.1669
0.5006 0.8331 0.8331
0.6266 0.1202 0.6266
0.6266 0.6266 0.1202
0.6266 0.6266 0.6266
0.8331 0.5006 0.8331
0.8331 0.8331 0.5006
0.8331 0.8331 0.8331
0.8798 0.3734 0.3734
```

The 10 most intense peaks (10 to 80 degrees two-theta), low angle first:
| 2θ/deg | Rel. int. |
| --- | --- |
| 16.51 | 12 |
| 23.43 | 54 |
| 28.79 | 12 |
| 33.37 | 100 |
| 41.17 | 19 |
| 47.91 | 15 |
| 53.99 | 29 |
| 59.64 | 33 |
| 75.04 | 13 |
| 79.88 | 13 |